Computed powder XRD pattern of RbTl2GaAu2 for λ = 1.5418 Å (Cu Kα), from a GGA-PBE-relaxed structure.
Peak positions follow from Bragg's law for the DFT cell and can differ from measured ones.

The 10 most intense peaks (2θ from 10° to 90°), by angle:
2θ/deg, d (Å), intensity
23.7, 3.757, 31
28.8, 3.096, 100
29.6, 3.013, 33
31.0, 2.887, 98
34.0, 2.638, 42
35.8, 2.511, 55
35.9, 2.499, 38
37.4, 2.403, 63
41.3, 2.186, 36
52.7, 1.736, 37

Structural model:
abc: 4.8063 9.4667 7.8133
angles: 90.00 90.00 90.00
Space group Pmc2_1 (No. 26)
Inequivalent atoms, fractional coordinates:
Rb1 0.0000 0.0438 0.0000 x2
Tl1 0.0000 0.3781 0.3280 x2
Tl2 0.5000 0.3976 0.9896 x2
Ga1 0.5000 0.2467 0.6277 x2
Au1 0.0000 0.3259 0.7153 x2
Au2 0.5000 0.1986 0.3001 x2